1.
For FeSnP, a GGA-PBE-relaxed structure gives the computed powder XRD pattern in this record (Cu Kα).
No peak broadening, texture or thermal motion is included.

Largest 10 diffraction maxima, by angle, 2θ = 10–90°:
2θ/deg	I_rel
27.84	20
30.16	21
32.85	27
33.81	55
35.79	100
40.76	24
49.38	22
50.72	36
54.96	15
66.13	20

Atomic structure:
Cell: 5.779 6.409 5.785 Å, 90.00 109.39 90.00°
Positions (direct):
Fe (0.025, 0.000, 0.195)
Fe (0.438, 0.507, 0.283)
Fe (0.562, 0.007, 0.717)
Fe (0.975, 0.500, 0.805)
Sn (0.103, 0.144, 0.648)
Sn (0.410, 0.649, 0.843)
Sn (0.590, 0.149, 0.157)
Sn (0.897, 0.644, 0.352)
P (0.110, 0.322, 0.138)
P (0.377, 0.840, 0.371)
P (0.623, 0.340, 0.629)
P (0.890, 0.822, 0.862)

2.
For LaSmPuMg, a GGA-PBE-relaxed structure gives the computed powder XRD pattern in this record (Cu Kα).
No peak broadening, texture or thermal motion is included.

Largest 10 diffraction maxima, by angle, 2θ = 10–90°:
2θ/deg	I_rel
19.48	32
32.08	100
37.81	19
46.00	19
50.40	9
57.18	39
61.01	7
67.09	12
70.61	6
76.32	17

Atomic structure:
Cell: 5.580 5.580 5.580 Å, 60.00 60.00 60.00°
Positions (direct):
La (0.000, 0.000, 0.000)
Sm (0.500, 0.500, 0.500)
Pu (0.250, 0.250, 0.250)
Mg (0.750, 0.750, 0.750)

3.
For Ti5Co2TcRh2, a GGA-PBE-relaxed structure gives the computed powder XRD pattern in this record (Cu Kα).
No peak broadening, texture or thermal motion is included.

Largest 10 diffraction maxima, by angle, 2θ = 10–90°:
2θ/deg	I_rel
25.66	11
28.75	21
35.62	14
37.77	34
38.91	10
39.12	13
41.11	21
41.30	100
44.42	19
60.14	12

Atomic structure:
Cell: 9.820 9.820 3.077 Å, 90.00 90.00 90.00°
Positions (direct):
Ti (0.000, 0.500, 0.000)
Ti (0.083, 0.195, 0.000)
Ti (0.195, 0.917, 0.000)
Ti (0.305, 0.417, 0.000)
Ti (0.417, 0.695, 0.000)
Ti (0.500, 0.000, 0.000)
Ti (0.583, 0.305, 0.000)
Ti (0.695, 0.583, 0.000)
Ti (0.805, 0.083, 0.000)
Ti (0.917, 0.805, 0.000)
Co (0.128, 0.372, 0.500)
Co (0.372, 0.872, 0.500)
Co (0.628, 0.128, 0.500)
Co (0.872, 0.628, 0.500)
Tc (0.000, 0.000, 0.500)
Tc (0.500, 0.500, 0.500)
Rh (0.168, 0.668, 0.500)
Rh (0.332, 0.168, 0.500)
Rh (0.668, 0.832, 0.500)
Rh (0.832, 0.332, 0.500)

4.
For Ti6Bi2N, a GGA-PBE-relaxed structure gives the computed powder XRD pattern in this record (Cu Kα).
No peak broadening, texture or thermal motion is included.

Largest 10 diffraction maxima, by angle, 2θ = 10–90°:
2θ/deg	I_rel
24.99	70
29.63	32
34.35	22
36.89	25
39.14	100
49.85	20
51.28	16
61.51	17
67.96	19
73.93	19

Atomic structure:
Cell: 6.032 6.032 4.873 Å, 90.03 90.03 59.93°
Positions (direct):
Ti (0.159, 0.159, 0.760)
Ti (0.159, 0.684, 0.761)
Ti (0.316, 0.841, 0.239)
Ti (0.684, 0.159, 0.761)
Ti (0.841, 0.316, 0.239)
Ti (0.841, 0.841, 0.240)
Bi (0.333, 0.333, 0.257)
Bi (0.667, 0.667, 0.743)
N (0.000, 0.000, 0.500)

5.
For Ac6IrPb6, a GGA-PBE-relaxed structure gives the computed powder XRD pattern in this record (Cu Kα).
No peak broadening, texture or thermal motion is included.

Largest 10 diffraction maxima, by angle, 2θ = 10–90°:
2θ/deg	I_rel
25.49	33
29.52	38
29.88	40
30.94	40
33.42	100
40.50	19
43.29	26
52.37	30
56.63	24
62.08	35

Atomic structure:
Cell: 6.988 6.988 11.562 Å, 90.00 90.00 120.00°
Positions (direct):
Ac (0.000, 0.000, 0.235)
Ac (0.000, 0.000, 0.765)
Ac (0.333, 0.667, 0.000)
Ac (0.333, 0.667, 0.500)
Ac (0.667, 0.333, 0.000)
Ac (0.667, 0.333, 0.500)
Ir (0.000, 0.000, 0.000)
Pb (0.000, 0.500, 0.256)
Pb (0.000, 0.500, 0.744)
Pb (0.500, 0.000, 0.256)
Pb (0.500, 0.000, 0.744)
Pb (0.500, 0.500, 0.256)
Pb (0.500, 0.500, 0.744)

6.
For TbEr4Sb5, a GGA-PBE-relaxed structure gives the computed powder XRD pattern in this record (Cu Kα).
No peak broadening, texture or thermal motion is included.

Largest 10 diffraction maxima, by angle, 2θ = 10–90°:
2θ/deg	I_rel
25.01	4
28.96	100
41.41	76
48.99	2
51.32	27
60.01	13
66.04	1
67.98	35
75.53	26
89.99	1

Atomic structure:
Cell: 11.536 11.536 11.536 Å, 158.21 149.00 38.22°
Positions (direct):
Tb (0.000, 0.000, 0.000)
Er (0.201, 0.201, 0.000)
Er (0.400, 0.400, 0.000)
Er (0.600, 0.600, 0.000)
Er (0.799, 0.799, 0.000)
Sb (0.101, 0.601, 0.500)
Sb (0.300, 0.800, 0.500)
Sb (0.500, 0.000, 0.500)
Sb (0.700, 0.200, 0.500)
Sb (0.899, 0.399, 0.500)